Theoretical X-ray powder pattern of Tm2Zr2Os3 for Cu Ka, from a structure optimized by DFT (GGA-PBE).

```
data_Tm2Zr2Os3
_cell_length_a 8.0112
_cell_length_b 4.6320
_cell_length_c 8.2446
_cell_angle_alpha 90.00
_cell_angle_beta 109.01
_cell_angle_gamma 90.00
_symmetry_space_group_name_H-M 'C 1 2/m 1'
_symmetry_Int_Tables_number 12
loop_
_symmetry_equiv_pos_as_xyz
'x,y,z'
'-x,-y,-z'
'-x,y,-z'
'x,-y,z'
'x+1/2,y+1/2,z'
'-x+1/2,-y+1/2,-z'
'-x+1/2,y+1/2,-z'
'x+1/2,-y+1/2,z'
loop_
_atom_site_label
_atom_site_type_symbol
_atom_site_fract_x
_atom_site_fract_y
_atom_site_fract_z
Tm1 Tm 0.1263 0.0000 0.3780
Zr1 Zr 0.1241 0.5000 0.8726
Os1 Os 0.0000 0.0000 0.0000
Os2 Os 0.2440 0.5000 0.2309
```

Principal peaks in the range 5° ≤ 2θ ≤ 70°, low angle first:
| 2theta | d [Å] | I_rel |
| --- | --- | --- |
| 11.35 | 7.795 | 7.9 |
| 22.50 | 3.951 | 25.3 |
| 23.46 | 3.792 | 10.8 |
| 34.96 | 2.566 | 18.8 |
| 38.10 | 2.362 | 100.0 |
| 38.92 | 2.314 | 97.8 |
| 55.60 | 1.653 | 33.6 |
| 67.93 | 1.380 | 5.7 |
| 68.31 | 1.373 | 16.2 |
| 69.89 | 1.346 | 22.6 |

=====

Theoretical X-ray powder pattern of DyAg2AsS4 for Cu Ka, from a structure optimized by DFT (GGA-PBE).

```
data_DyAg2AsS4
_cell_length_a 7.5491
_cell_length_b 7.8854
_cell_length_c 11.0491
_cell_angle_alpha 90.00
_cell_angle_beta 90.00
_cell_angle_gamma 90.00
_symmetry_space_group_name_H-M 'I m m a'
_symmetry_Int_Tables_number 74
_symmetry_space_group_name_Hall '-I 2b 2'
loop_
_atom_site_label
_atom_site_type_symbol
_atom_site_fract_x
_atom_site_fract_y
_atom_site_fract_z
Dy1 Dy 0.0000 0.0000 0.0000
Ag1 Ag 0.0000 0.0000 0.5000
Ag2 Ag 0.2500 0.2500 0.2500
As1 As 0.2500 0.2500 0.7500
S1 S 0.0000 0.0160 0.7520
S2 S 0.2485 0.2500 0.9872
```

Principal peaks in the range 5° ≤ 2θ ≤ 70°, low angle first:
| 2theta | d [Å] | I_rel |
| --- | --- | --- |
| 27.80 | 3.209 | 47.1 |
| 28.64 | 3.117 | 43.4 |
| 32.41 | 2.762 | 51.5 |
| 32.85 | 2.727 | 100.0 |
| 46.04 | 1.971 | 18.5 |
| 46.82 | 1.940 | 70.4 |
| 48.22 | 1.887 | 16.3 |
| 55.10 | 1.667 | 22.5 |
| 57.43 | 1.605 | 18.4 |
| 59.30 | 1.558 | 17.0 |

=====

Theoretical X-ray powder pattern of LiPm2Rh for Cu Ka, from a structure optimized by DFT (GGA-PBE).

```
data_LiPm2Rh
_cell_length_a 3.5762
_cell_length_b 3.5762
_cell_length_c 7.7909
_cell_angle_alpha 90.00
_cell_angle_beta 90.00
_cell_angle_gamma 90.00
_symmetry_space_group_name_H-M 'P 4/m m m'
_symmetry_Int_Tables_number 123
_symmetry_space_group_name_Hall '-P 4 2'
loop_
_atom_site_label
_atom_site_type_symbol
_atom_site_fract_x
_atom_site_fract_y
_atom_site_fract_z
Li1 Li 0.0000 0.0000 0.0000
Pm1 Pm 0.5000 0.5000 0.2859
Rh1 Rh 0.0000 0.0000 0.5000
```

Principal peaks in the range 5° ≤ 2θ ≤ 70°, low angle first:
| 2theta | d [Å] | I_rel |
| --- | --- | --- |
| 11.36 | 7.791 | 66.7 |
| 24.90 | 3.576 | 26.3 |
| 34.03 | 2.634 | 100.0 |
| 35.50 | 2.529 | 51.8 |
| 37.39 | 2.405 | 15.2 |
| 43.05 | 2.101 | 29.9 |
| 51.08 | 1.788 | 18.3 |
| 59.95 | 1.543 | 11.8 |
| 62.81 | 1.479 | 33.7 |
| 68.96 | 1.362 | 14.6 |